# 1
Computed powder X-ray diffraction pattern
Compound: Np4Ag3Bi8
Radiation: Cu Kα (weighted mean of Kα1 and Kα2)
Structure: a cell relaxed with GGA-PBE
Kinematic intensities with the Lorentz-polarization factor, no thermal factor.

Most intense lines, 2θ = 10–90°, sorted by position:
2theta	d_spacing	I (rel.)
26.8	3.329	11
29.0	3.075	14
33.0	2.713	100
36.0	2.497	11
39.4	2.285	38
48.3	1.884	9
54.4	1.686	15
57.0	1.616	13
65.3	1.429	9
67.5	1.388	26
69.3	1.357	7
82.4	1.170	9

Atomic structure:
```
data_Np4Ag3Bi8
_chemical_formula_sum 'Np4 Ag3 Bi8'
_space_group_name_H-M_alt 'P 1'
_space_group_IT_number 1
_space_group_name_Hall 'P 1'
_cell_length_a 4.5702
_cell_length_b 4.5702
_cell_length_c 19.9750
_cell_angle_alpha 90.00
_cell_angle_beta 90.00
_cell_angle_gamma 90.00
loop_
_atom_site_label
_atom_site_fract_x
_atom_site_fract_y
_atom_site_fract_z
Np1 0.0000 0.5000 0.1167
Np2 0.0000 0.5000 0.6270
Np3 0.5000 0.0000 0.3730
Np4 0.5000 0.0000 0.8833
Ag1 0.0000 0.0000 0.0000
Ag2 0.0000 0.0000 0.5000
Ag3 0.5000 0.5000 0.5000
Bi1 0.0000 0.0000 0.2441
Bi2 0.0000 0.0000 0.7559
Bi3 0.0000 0.5000 0.4003
Bi4 0.0000 0.5000 0.9124
Bi5 0.5000 0.0000 0.0876
Bi6 0.5000 0.0000 0.5997
Bi7 0.5000 0.5000 0.2449
Bi8 0.5000 0.5000 0.7551
```

---

# 2
Computed powder X-ray diffraction pattern
Compound: Ti5SnH2
Radiation: Cu Kα (weighted mean of Kα1 and Kα2)
Structure: a cell relaxed with GGA-PBE
Kinematic intensities with the Lorentz-polarization factor, no thermal factor.

Most intense lines, 2θ = 10–90°, sorted by position:
2theta	d_spacing	I (rel.)
12.6	7.052	48
23.1	3.858	22
34.1	2.632	92
38.3	2.351	34
40.8	2.210	100
45.2	2.006	49
60.7	1.526	33
65.9	1.418	15
75.2	1.263	19
76.3	1.249	17
78.8	1.214	15
80.5	1.194	26

Atomic structure:
```
data_Ti5SnH2
_chemical_formula_sum 'Ti10 Sn2 H4'
_space_group_name_H-M_alt 'P 1'
_space_group_IT_number 1
_space_group_name_Hall 'P 1'
_cell_length_a 4.0115
_cell_length_b 4.0115
_cell_length_c 14.1040
_cell_angle_alpha 90.00
_cell_angle_beta 90.00
_cell_angle_gamma 90.00
loop_
_atom_site_label
_atom_site_fract_x
_atom_site_fract_y
_atom_site_fract_z
Ti1 0.0000 0.0000 0.0000
Ti2 0.0000 0.5000 0.1522
Ti3 0.0000 0.5000 0.3478
Ti4 0.0000 0.5000 0.6522
Ti5 0.0000 0.5000 0.8478
Ti6 0.5000 0.0000 0.1522
Ti7 0.5000 0.0000 0.3478
Ti8 0.5000 0.0000 0.6522
Ti9 0.5000 0.0000 0.8478
Ti10 0.5000 0.5000 0.5000
Sn1 0.0000 0.0000 0.5000
Sn2 0.5000 0.5000 0.0000
H1 0.0000 0.0000 0.1338
H2 0.0000 0.0000 0.8662
H3 0.5000 0.5000 0.3662
H4 0.5000 0.5000 0.6338
```

---

# 3
Computed powder X-ray diffraction pattern
Compound: Ho4Ir
Radiation: Cu Kα (weighted mean of Kα1 and Kα2)
Structure: a cell relaxed with GGA-PBE
Kinematic intensities with the Lorentz-polarization factor, no thermal factor.

Most intense lines, 2θ = 10–90°, sorted by position:
2theta	d_spacing	I (rel.)
15.3	5.808	29
20.7	4.298	32
29.4	3.039	21
30.8	2.904	100
33.3	2.693	75
35.8	2.512	53
39.5	2.282	48
40.3	2.237	35
42.0	2.149	25
50.7	1.802	22
54.6	1.680	28
63.8	1.458	18

Atomic structure:
```
data_Ho4Ir
_chemical_formula_sum 'Ho8 Ir2'
_space_group_name_H-M_alt 'P 1'
_space_group_IT_number 1
_space_group_name_Hall 'P 1'
_cell_length_a 7.2428
_cell_length_b 7.2428
_cell_length_c 7.2428
_cell_angle_alpha 107.21
_cell_angle_beta 107.21
_cell_angle_gamma 114.10
loop_
_atom_site_label
_atom_site_fract_x
_atom_site_fract_y
_atom_site_fract_z
Ho1 0.0308 0.8070 0.1707
Ho2 0.1137 0.4430 0.7238
Ho3 0.1399 0.9692 0.7762
Ho4 0.1930 0.3637 0.2238
Ho5 0.5570 0.2808 0.6707
Ho6 0.6101 0.8863 0.3293
Ho7 0.6363 0.8601 0.8293
Ho8 0.7192 0.3899 0.2762
Ir1 0.2500 0.7500 0.5000
Ir2 0.5000 0.5000 0.0000
```